ZnPH3O5: calculated XRD peak list (Cu Kα, 1.54184 Å), based on a crystal structure in the Materials Project, relaxed with GGA-PBE.

Atomic structure:
```
data_ZnPH3O5
_chemical_formula_sum 'Zn6 P6 H18 O30'
_symmetry_space_group_name_H-M 'P 1'
_symmetry_Int_Tables_number 1
_symmetry_space_group_name_Hall 'P 1'
_cell_length_a 6.5101
_cell_length_b 7.7901
_cell_length_c 12.3596
_cell_angle_alpha 74.38
_cell_angle_beta 81.93
_cell_angle_gamma 81.71
loop_
_atom_site_label
_atom_site_fract_x
_atom_site_fract_y
_atom_site_fract_z
Zn1 0.0254 0.0625 0.2999
Zn2 0.1390 0.6705 0.9495
Zn3 0.3521 0.8854 0.0908
Zn4 0.6479 0.1146 0.9092
Zn5 0.8610 0.3295 0.0505
Zn6 0.9746 0.9375 0.7001
P1 0.1456 0.1309 0.8654
P2 0.3307 0.6901 0.3650
P3 0.3517 0.2909 0.1122
P4 0.6483 0.7091 0.8878
P5 0.6693 0.3099 0.6350
P6 0.8544 0.8691 0.1346
H1 0.0092 0.7852 0.5259
H2 0.1631 0.3129 0.3806
H3 0.1657 0.5106 0.7800
H4 0.2618 0.9891 0.5143
H5 0.2940 0.2893 0.6966
H6 0.3185 0.6623 0.7526
H7 0.3487 0.4234 0.4961
H8 0.3567 0.0513 0.6039
H9 0.3631 0.5016 0.2091
H10 0.6369 0.4984 0.7909
H11 0.6433 0.9487 0.3961
H12 0.6513 0.5766 0.5039
H13 0.6815 0.3377 0.2474
H14 0.7060 0.7107 0.3034
H15 0.7382 0.0109 0.4857
H16 0.8343 0.4894 0.2200
H17 0.8369 0.6871 0.6194
H18 0.9908 0.2148 0.4741
O1 0.0619 0.8151 0.0680
O2 0.0922 0.2034 0.4069
O3 0.1315 0.9674 0.8206
O4 0.1571 0.8305 0.3965
O5 0.1669 0.4089 0.0524
O6 0.1761 0.3016 0.7617
O7 0.1766 0.6354 0.7852
O8 0.2641 0.4981 0.4329
O9 0.2830 0.9551 0.5949
O10 0.2893 0.1008 0.1729
O11 0.3281 0.0951 0.9381
O12 0.3496 0.6910 0.2390
O13 0.3903 0.3679 0.2145
O14 0.4437 0.7116 0.9670
O15 0.4567 0.2876 0.5999
O16 0.5433 0.7124 0.4001
O17 0.5563 0.2884 0.0330
O18 0.6097 0.6321 0.7855
O19 0.6504 0.3090 0.7610
O20 0.6719 0.9049 0.0619
O21 0.7107 0.8992 0.8271
O22 0.7170 0.0449 0.4051
O23 0.7359 0.5019 0.5671
O24 0.8234 0.3646 0.2148
O25 0.8239 0.6984 0.2383
O26 0.8331 0.5911 0.9476
O27 0.8429 0.1695 0.6035
O28 0.8685 0.0326 0.1794
O29 0.9078 0.7966 0.5931
O30 0.9381 0.1849 0.9320
```

Main lines, sorted by position (10 to 90 degrees two-theta):
h k l	2θ/deg	intensity
0 1 0	11.9	85
1 1 1	16.9	41
1 1 0	17.2	56
-1 1 1	20.1	56
0 2 2	24.8	58
1 -1 2	25.4	100
0 2 3	28.5	43
0 2 -2	31.4	87
2 0 -2	33.2	53
2 2 1	33.6	53